This entry pairs a crystal structure of Ba3FeRu2O9 with its theoretical powder diffractogram. Radiation: λ = 1.5418 Å (Cu Kα). Structure: DFT lattice parameters and positions (PBE+U).
Kinematic intensities with the Lorentz-polarization factor, no thermal factor.

Atomic structure:
Unit cell a=5.8105 b=5.8105 c=14.1456 alpha=90.00 beta=90.00 gamma=120.00
Sites, in units of the cell vectors:
1 Ba 0.0000 0.0000 0.2500
2 Ba 0.0000 0.0000 0.7500
3 Ba 0.3333 0.6667 0.0879
4 Ba 0.3333 0.6667 0.4121
5 Ba 0.6667 0.3333 0.5879
6 Ba 0.6667 0.3333 0.9121
7 Fe 0.0000 0.0000 0.0000
8 Fe 0.0000 0.0000 0.5000
9 Ru 0.3333 0.6667 0.6607
10 Ru 0.3333 0.6667 0.8393
11 Ru 0.6667 0.3333 0.1607
12 Ru 0.6667 0.3333 0.3393
13 O 0.0176 0.5088 0.7500
14 O 0.1689 0.3378 0.5822
15 O 0.1689 0.3378 0.9178
16 O 0.1689 0.8311 0.5822
17 O 0.1689 0.8311 0.9178
18 O 0.3378 0.1689 0.0822
19 O 0.3378 0.1689 0.4178
20 O 0.4912 0.5088 0.7500
21 O 0.4912 0.9824 0.7500
22 O 0.5088 0.0176 0.2500
23 O 0.5088 0.4912 0.2500
24 O 0.6622 0.8311 0.5822
25 O 0.6622 0.8311 0.9178
26 O 0.8311 0.1689 0.0822
27 O 0.8311 0.1689 0.4178
28 O 0.8311 0.6622 0.0822
29 O 0.8311 0.6622 0.4178
30 O 0.9824 0.4912 0.2500

Most intense lines, 15 to 90 degrees two-theta, sorted by position:
2θ = 25.90°, intensity 27; 2θ = 30.78°, intensity 100; 2θ = 30.91°, intensity 51; 2θ = 36.43°, intensity 19; 2θ = 40.64°, intensity 21; 2θ = 44.18°, intensity 31; 2θ = 48.42°, intensity 13; 2θ = 54.76°, intensity 39; 2θ = 64.11°, intensity 19; 2θ = 89.21°, intensity 16